Theoretical powder diffraction line list of CeGaSi for a wavelength of 1.5418 Å, from the PBE geometry in Alexandria.
Peak positions follow from Bragg's law for the DFT cell and can differ from measured ones.

Peak list (10 most intense, 2θ from 10° to 80°, in order of falling intensity)
32.8°, I 100
28.7°, I 42
37.8°, I 38
59.5°, I 20
42.4°, I 20
49.7°, I 19
44.1°, I 18
52.0°, I 16
62.9°, I 12
21.7°, I 12

abc: 4.1027 4.2633 14.3495
angles: 90.00 90.00 90.00
Fractional positions:
Ce: 0.0000 0.2500 0.1338
Ce: 0.0000 0.7500 0.8662
Ce: 0.5000 0.2500 0.3662
Ce: 0.5000 0.7500 0.6338
Ga: 0.0000 0.2500 0.5413
Ga: 0.0000 0.7500 0.4587
Ga: 0.5000 0.2500 0.9587
Ga: 0.5000 0.7500 0.0413
Si: 0.0000 0.2500 0.7088
Si: 0.0000 0.7500 0.2912
Si: 0.5000 0.2500 0.7912
Si: 0.5000 0.7500 0.2088

***

Theoretical powder diffraction line list of Ce2SmGa for a wavelength of 1.5418 Å, from the PBE geometry in Alexandria.
Peak positions follow from Bragg's law for the DFT cell and can differ from measured ones.

Peak list (10 most intense, 2θ from 10° to 80°, in order of falling intensity)
31.8°, I 100
36.3°, I 63
30.7°, I 61
38.4°, I 34
49.9°, I 31
52.2°, I 28
23.5°, I 17
67.4°, I 15
48.7°, I 13
65.3°, I 13

abc: 4.6936 6.3962 7.0244
angles: 90.00 90.00 90.00
Fractional positions:
Ce: 0.2500 0.0331 0.1090
Ce: 0.2500 0.4669 0.1090
Ce: 0.7500 0.5331 0.8910
Ce: 0.7500 0.9669 0.8910
Sm: 0.2500 0.2500 0.5974
Sm: 0.7500 0.7500 0.4026
Ga: 0.2500 0.7500 0.6811
Ga: 0.7500 0.2500 0.3189

***

Theoretical powder diffraction line list of Ce2SmGa2 for a wavelength of 1.5418 Å, from the PBE geometry in Alexandria.
Peak positions follow from Bragg's law for the DFT cell and can differ from measured ones.

Peak list (10 most intense, 2θ from 10° to 80°, in order of falling intensity)
28.5°, I 100
34.8°, I 97
37.4°, I 53
41.8°, I 51
33.9°, I 47
25.7°, I 43
36.7°, I 37
27.9°, I 25
68.2°, I 20
43.0°, I 19

abc: 6.1557 4.3264 9.9834
angles: 90.00 105.21 90.00
Fractional positions:
Ce: 0.0581 0.2500 0.3313
Ce: 0.1286 0.2500 0.0608
Ce: 0.8714 0.7500 0.9392
Ce: 0.9419 0.7500 0.6687
Sm: 0.4491 0.2500 0.7372
Sm: 0.5509 0.7500 0.2628
Ga: 0.3602 0.7500 0.5153
Ga: 0.3676 0.7500 0.9368
Ga: 0.6324 0.2500 0.0632
Ga: 0.6398 0.2500 0.4847

***

Theoretical powder diffraction line list of CeSm2Ga3 for a wavelength of 1.5418 Å, from the PBE geometry in Alexandria.
Peak positions follow from Bragg's law for the DFT cell and can differ from measured ones.

Peak list (10 most intense, 2θ from 10° to 80°, in order of falling intensity)
35.4°, I 100
28.6°, I 84
35.1°, I 75
34.8°, I 54
55.2°, I 32
59.3°, I 26
55.0°, I 25
62.3°, I 21
63.5°, I 16
50.7°, I 15

abc: 6.2361 6.2361 8.7219
angles: 90.00 90.00 120.00
Fractional positions:
Ce: 0.3333 0.6667 0.4252
Ce: 0.6667 0.3333 0.5748
Sm: 0.0000 0.0000 0.0000
Sm: 0.0000 0.0000 0.5000
Sm: 0.3333 0.6667 0.0672
Sm: 0.6667 0.3333 0.9328
Ga: 0.1917 0.3835 0.7493
Ga: 0.1917 0.8083 0.7493
Ga: 0.3835 0.1917 0.2507
Ga: 0.6165 0.8083 0.7493
Ga: 0.8083 0.1917 0.2507
Ga: 0.8083 0.6165 0.2507

***

Theoretical powder diffraction line list of Ce2SmGa4 for a wavelength of 1.5418 Å, from the PBE geometry in Alexandria.
Peak positions follow from Bragg's law for the DFT cell and can differ from measured ones.

Peak list (10 most intense, 2θ from 10° to 80°, in order of falling intensity)
31.5°, I 100
31.7°, I 58
39.8°, I 36
42.5°, I 25
54.6°, I 25
43.3°, I 23
59.6°, I 22
35.6°, I 22
25.6°, I 19
62.3°, I 16

abc: 4.1802 4.2568 18.8506
angles: 90.00 90.00 90.00
Fractional positions:
Ce: 0.0000 0.0000 0.1891
Ce: 0.0000 0.0000 0.8109
Ce: 0.5000 0.5000 0.3109
Ce: 0.5000 0.5000 0.6891
Sm: 0.0000 0.5000 0.5000
Sm: 0.5000 0.0000 0.0000
Ga: 0.0000 0.0000 0.3593
Ga: 0.0000 0.0000 0.6407
Ga: 0.0000 0.5000 0.0654
Ga: 0.0000 0.5000 0.9346
Ga: 0.5000 0.0000 0.4346
Ga: 0.5000 0.0000 0.5654
Ga: 0.5000 0.5000 0.1407
Ga: 0.5000 0.5000 0.8593

***

Theoretical powder diffraction line list of CeGa2Sn2 for a wavelength of 1.5418 Å, from the PBE geometry in Alexandria.
Peak positions follow from Bragg's law for the DFT cell and can differ from measured ones.

Peak list (10 most intense, 2θ from 10° to 80°, in order of falling intensity)
34.3°, I 100
29.9°, I 24
38.6°, I 24
39.1°, I 23
56.1°, I 16
33.1°, I 15
67.2°, I 14
67.7°, I 14
62.6°, I 14
51.8°, I 8

abc: 11.0696 11.0696 4.6113
angles: 90.00 90.00 155.70
Fractional positions:
Ce: 0.1351 0.8649 0.7500
Ce: 0.8649 0.1351 0.2500
Ga: 0.0304 0.9696 0.2500
Ga: 0.4617 0.5383 0.2500
Ga: 0.5383 0.4617 0.7500
Ga: 0.9696 0.0304 0.7500
Sn: 0.2493 0.7507 0.2500
Sn: 0.3727 0.6273 0.7500
Sn: 0.6273 0.3727 0.2500
Sn: 0.7507 0.2493 0.7500

***

Theoretical powder diffraction line list of Ce6Ga2Sn for a wavelength of 1.5418 Å, from the PBE geometry in Alexandria.
Peak positions follow from Bragg's law for the DFT cell and can differ from measured ones.

Peak list (10 most intense, 2θ from 10° to 80°, in order of falling intensity)
33.1°, I 100
33.5°, I 94
32.8°, I 88
33.7°, I 75
33.3°, I 62
39.0°, I 55
30.7°, I 54
29.7°, I 53
30.5°, I 35
38.7°, I 25

abc: 8.2505 8.3192 8.7574
angles: 112.60 114.01 98.97
Fractional positions:
Ce: 0.0504 0.2619 0.1766
Ce: 0.2149 0.4453 0.6706
Ce: 0.2717 0.2262 0.0036
Ce: 0.3058 0.0361 0.3384
Ce: 0.3163 0.8180 0.5992
Ce: 0.4187 0.6137 0.1678
Ce: 0.5813 0.3863 0.8322
Ce: 0.6837 0.1820 0.4008
Ce: 0.6942 0.9639 0.6616
Ce: 0.7283 0.7738 0.9964
Ce: 0.7851 0.5547 0.3294
Ce: 0.9496 0.7381 0.8234
Ga: 0.0365 0.6304 0.1623
Ga: 0.3749 0.8700 0.9897
Ga: 0.6251 0.1300 0.0103
Ga: 0.9635 0.3696 0.8377
Sn: 0.0000 0.0000 0.5000
Sn: 0.5000 0.5000 0.5000

***

Theoretical powder diffraction line list of Ce7Ga3Sn for a wavelength of 1.5418 Å, from the PBE geometry in Alexandria.
Peak positions follow from Bragg's law for the DFT cell and can differ from measured ones.

Peak list (10 most intense, 2θ from 10° to 80°, in order of falling intensity)
36.9°, I 100
30.5°, I 91
31.5°, I 61
44.4°, I 47
58.5°, I 26
23.9°, I 21
59.6°, I 21
43.7°, I 15
25.0°, I 13
72.7°, I 11

abc: 7.8482 7.8482 5.8502
angles: 111.83 111.83 92.85
Fractional positions:
Ce: 0.0000 0.0000 0.0000
Ce: 0.1077 0.5790 0.3434
Ce: 0.3480 0.3480 0.8484
Ce: 0.4210 0.8923 0.6566
Ce: 0.5790 0.1077 0.3434
Ce: 0.6520 0.6520 0.1516
Ce: 0.8923 0.4210 0.6566
Ga: 0.2630 0.7370 0.0000
Ga: 0.5000 0.5000 0.5000
Ga: 0.7370 0.2630 0.0000
Sn: 0.0000 0.0000 0.5000

***

Theoretical powder diffraction line list of SrCeGa4 for a wavelength of 1.5418 Å, from the PBE geometry in Alexandria.
Peak positions follow from Bragg's law for the DFT cell and can differ from measured ones.

Peak list (10 most intense, 2θ from 10° to 80°, in order of falling intensity)
31.5°, I 100
36.1°, I 57
41.7°, I 45
56.3°, I 31
27.1°, I 28
46.8°, I 28
64.4°, I 21
69.7°, I 20
60.4°, I 15
50.4°, I 10

abc: 4.3353 4.3353 15.2095
angles: 90.00 90.00 90.00
Fractional positions:
Sr: 0.0000 0.0000 0.0000
Sr: 0.5000 0.5000 0.5000
Ce: 0.0000 0.5000 0.2500
Ce: 0.5000 0.0000 0.7500
Ga: 0.0000 0.0000 0.4145
Ga: 0.0000 0.0000 0.5855
Ga: 0.0000 0.5000 0.6692
Ga: 0.0000 0.5000 0.8308
Ga: 0.5000 0.0000 0.1692
Ga: 0.5000 0.0000 0.3308
Ga: 0.5000 0.5000 0.0855
Ga: 0.5000 0.5000 0.9145

***

Theoretical powder diffraction line list of Tb4CeGa4 for a wavelength of 1.5418 Å, from the PBE geometry in Alexandria.
Peak positions follow from Bragg's law for the DFT cell and can differ from measured ones.

Peak list (10 most intense, 2θ from 10° to 80°, in order of falling intensity)
32.7°, I 100
34.7°, I 80
32.6°, I 78
40.7°, I 60
38.8°, I 42
33.1°, I 38
27.7°, I 37
53.9°, I 35
36.3°, I 34
49.3°, I 21

abc: 8.6601 8.6601 5.7948
angles: 90.00 90.00 90.00
Fractional positions:
Tb: 0.0776 0.8243 0.1407
Tb: 0.1757 0.5776 0.6407
Tb: 0.3243 0.9224 0.6407
Tb: 0.4224 0.6757 0.1407
Tb: 0.5776 0.3243 0.8593
Tb: 0.6757 0.0776 0.3593
Tb: 0.8243 0.4224 0.3593
Tb: 0.9224 0.1757 0.8593
Ce: 0.2500 0.2500 0.7500
Ce: 0.7500 0.7500 0.2500
Ga: 0.0461 0.1538 0.3468
Ga: 0.1538 0.4539 0.1532
Ga: 0.3462 0.0461 0.1532
Ga: 0.4539 0.3462 0.3468
Ga: 0.5461 0.6538 0.6532
Ga: 0.6538 0.9539 0.8468
Ga: 0.8462 0.5461 0.8468
Ga: 0.9539 0.8462 0.6532

***

Theoretical powder diffraction line list of TbCe2Ga3 for a wavelength of 1.5418 Å, from the PBE geometry in Alexandria.
Peak positions follow from Bragg's law for the DFT cell and can differ from measured ones.

Peak list (10 most intense, 2θ from 10° to 80°, in order of falling intensity)
35.0°, I 100
62.8°, I 27
50.3°, I 18
24.6°, I 13
62.7°, I 9
56.8°, I 6
73.9°, I 6
74.0°, I 6
43.2°, I 3
79.3°, I 2

abc: 5.1231 5.1231 12.5850
angles: 90.00 90.00 120.00
Fractional positions:
Tb: 0.3333 0.6667 0.1669
Tb: 0.6667 0.3333 0.8331
Ce: 0.0000 0.0000 0.0000
Ce: 0.0000 0.0000 0.5000
Ce: 0.3333 0.6667 0.6680
Ce: 0.6667 0.3333 0.3320
Ga: 0.0000 0.0000 0.2473
Ga: 0.0000 0.0000 0.7527
Ga: 0.3333 0.6667 0.4144
Ga: 0.3333 0.6667 0.9171
Ga: 0.6667 0.3333 0.0829
Ga: 0.6667 0.3333 0.5856

***

Theoretical powder diffraction line list of Ce4Ga12Tc for a wavelength of 1.5418 Å, from the PBE geometry in Alexandria.
Peak positions follow from Bragg's law for the DFT cell and can differ from measured ones.

Peak list (10 most intense, 2θ from 10° to 80°, in order of falling intensity)
35.6°, I 100
41.4°, I 65
59.9°, I 38
71.7°, I 30
28.9°, I 26
75.4°, I 11
38.6°, I 10
48.9°, I 8
67.9°, I 8
51.3°, I 7

abc: 7.5625 7.5625 7.5625
angles: 109.47 109.47 109.47
Fractional positions:
Ce: 0.0000 0.0000 0.5000
Ce: 0.0000 0.5000 0.0000
Ce: 0.5000 0.0000 0.0000
Ce: 0.5000 0.5000 0.5000
Ga: 0.0000 0.2914 0.2914
Ga: 0.0000 0.7086 0.7086
Ga: 0.2500 0.5000 0.7500
Ga: 0.2500 0.7500 0.5000
Ga: 0.2914 0.0000 0.2914
Ga: 0.2914 0.2914 0.0000
Ga: 0.5000 0.2500 0.7500
Ga: 0.5000 0.7500 0.2500
Ga: 0.7086 0.0000 0.7086
Ga: 0.7086 0.7086 0.0000
Ga: 0.7500 0.2500 0.5000
Ga: 0.7500 0.5000 0.2500
Tc: 0.0000 0.0000 0.0000